The following is a computed powder X-ray diffraction pattern of Y2In2Ni. It was derived from a cell relaxed with PBE, using copper Kα.
Intensities are scaled so that the largest is 100.

Peak list (10 most intense, 2θ from 15° to 90°, in order of falling intensity)
2θ (°)  Rel. int.  hkl
33.82  100.0  2 1 1
39.80  26.4  3 1 0
38.13  20.8  0 0 2
56.29  18.4  3 1 2
66.16  13.5  2 1 3
74.05  12.6  5 2 1
56.44  11.1  4 1 1
18.80  7.3  0 0 1
54.34  6.1  3 3 0
68.31  6.1  3 3 2

Atomic structure:
```
Y2In2Ni
1.0
7.1624 0.0000 0.0000
0.0000 7.1624 0.0000
0.0000 0.0000 4.7207
Y In Ni
4 4 2
Direct
0.1666 0.3334 0.0000
0.3334 0.8334 0.0000
0.6666 0.1666 0.0000
0.8334 0.6666 0.0000
0.1447 0.6447 0.5000
0.3553 0.1447 0.5000
0.6447 0.8553 0.5000
0.8553 0.3553 0.5000
0.0000 0.0000 0.5000
0.5000 0.5000 0.5000
```